GaAg2Br6: theoretical X-ray diffraction stick pattern (copper Kα), based on the GGA-PBE geometry in Alexandria.
Lines closer than 0.1° are merged.

Main lines, sorted by position (2θ from 10° to 80°):
- 2θ 14.66, I 88
- 2θ 25.93, I 100
- 2θ 29.51, I 53
- 2θ 29.79, I 29
- 2θ 31.41, I 29
- 2θ 33.32, I 46
- 2θ 35.55, I 32
- 2θ 40.03, I 29

Cell and atoms:
abc: 6.727 7.178 12.431
angles: 90.00 115.73 90.00
Positions (direct):
Ga 0.000 0.000 0.000
Ga 0.000 0.500 0.500
Ag 0.355 0.133 0.842
Ag 0.355 0.367 0.342
Ag 0.645 0.633 0.658
Ag 0.645 0.867 0.158
Br 0.087 0.206 0.419
Br 0.087 0.294 0.919
Br 0.239 0.685 0.429
Br 0.239 0.815 0.929
Br 0.360 0.055 0.216
Br 0.360 0.445 0.716
Br 0.640 0.555 0.284
Br 0.640 0.945 0.784
Br 0.761 0.185 0.071
Br 0.761 0.315 0.571
Br 0.913 0.706 0.081
Br 0.913 0.794 0.581